# CeSe2
Theoretical powder X-ray diffraction pattern, Cu Kα (weighted mean of Kα1 and Kα2). Input: the GGA-PBE geometry in the Materials Project.
Intensities are scaled so that the largest is 100.

Peak list (8 most intense, 2θ from 10° to 90°, by angle)
2theta, d (Å), Rel. int.
11.35, 7.795, 54
14.58, 6.074, 67
17.97, 4.935, 36
19.33, 4.591, 100
23.11, 3.848, 35
25.17, 3.538, 28
32.13, 2.786, 37
39.20, 2.298, 24

Atomic structure:
```
data_CeSe2
_space_group_name_H-M_alt 'P b a n'
_space_group_IT_number 50
_cell_length_a 15.5908
_cell_length_b 15.7428
_cell_length_c 6.0744
_cell_angle_alpha 90.00
_cell_angle_beta 90.00
_cell_angle_gamma 90.00
loop_
_space_group_symop_operation_xyz
'x,y,z'
'-x,-y,-z'
'-x+1/2,-y+1/2,z'
'x+1/2,y+1/2,-z'
'x,-y+1/2,-z'
'-x,y+1/2,z'
'-x+1/2,y,-z'
'x+1/2,-y,z'
loop_
_atom_site_label
_atom_site_type_symbol
_atom_site_fract_x
_atom_site_fract_y
_atom_site_fract_z
Ce1 Ce 0.0913 0.1331 0.1683
Se1 Se 0.0000 0.0000 0.0000
Se2 Se 0.0182 0.7500 0.0000
Se3 Se 0.1154 0.2500 0.5000
Se4 Se 0.2500 0.0999 0.0000
```


# Np3Be
Theoretical powder X-ray diffraction pattern, Cu Kα (weighted mean of Kα1 and Kα2). Input: the GGA-PBE geometry in the Materials Project.
Intensities are scaled so that the largest is 100.

Peak list (8 most intense, 2θ from 10° to 90°, by angle)
2theta, d (Å), Rel. int.
24.49, 3.635, 25
28.35, 3.148, 13
40.52, 2.226, 100
47.92, 1.898, 13
58.65, 1.574, 17
64.51, 1.444, 5
73.72, 1.285, 36
87.68, 1.113, 12

Atomic structure:
```
data_Np3Be
_space_group_name_H-M_alt 'F m -3 m'
_space_group_IT_number 225
_space_group_name_Hall '-F 4 2 3'
_cell_length_a 6.2962
_cell_length_b 6.2962
_cell_length_c 6.2962
_cell_angle_alpha 90.00
_cell_angle_beta 90.00
_cell_angle_gamma 90.00
loop_
_atom_site_label
_atom_site_type_symbol
_atom_site_fract_x
_atom_site_fract_y
_atom_site_fract_z
Np1 Np 0.0000 0.0000 0.0000
Np2 Np 0.2500 0.2500 0.2500
Be1 Be 0.0000 0.0000 0.5000
```


# SrH4O3
Theoretical powder X-ray diffraction pattern, Cu Kα (weighted mean of Kα1 and Kα2). Input: the GGA-PBE geometry in the Materials Project.
Intensities are scaled so that the largest is 100.

Peak list (8 most intense, 2θ from 10° to 90°, by angle)
2theta, d (Å), Rel. int.
14.26, 6.210, 100
19.30, 4.599, 91
26.04, 3.422, 70
31.64, 2.827, 70
35.77, 2.511, 63
38.68, 2.328, 95
40.10, 2.249, 65
40.22, 2.242, 61

Atomic structure:
```
data_SrH4O3
_space_group_name_H-M_alt 'P 1 21 1'
_space_group_IT_number 4
_space_group_name_Hall 'P 2yb'
_cell_length_a 3.6947
_cell_length_b 6.8435
_cell_length_c 6.2097
_cell_angle_alpha 90.00
_cell_angle_beta 90.18
_cell_angle_gamma 90.00
loop_
_atom_site_label
_atom_site_type_symbol
_atom_site_fract_x
_atom_site_fract_y
_atom_site_fract_z
Sr1 Sr 0.0075 0.0000 0.1220
H1 H 0.2052 0.5783 0.3871
H2 H 0.2143 0.0663 0.6187
H3 H 0.4489 0.3493 0.5533
H4 H 0.4978 0.8384 0.7908
O1 O 0.0074 0.1203 0.7068
O2 O 0.4868 0.4893 0.5691
O3 O 0.4987 0.2837 0.0638
```


# Y2Ni7Sn3
Theoretical powder X-ray diffraction pattern, Cu Kα (weighted mean of Kα1 and Kα2). Input: the GGA-PBE geometry in the Materials Project.
Intensities are scaled so that the largest is 100.

Peak list (8 most intense, 2θ from 10° to 90°, by angle)
2theta, d (Å), Rel. int.
28.13, 3.172, 38
32.26, 2.775, 68
36.78, 2.443, 100
38.45, 2.341, 73
41.82, 2.160, 76
42.02, 2.150, 78
42.36, 2.134, 86
47.54, 1.912, 51

Atomic structure:
```
data_Y2Ni7Sn3
_space_group_name_H-M_alt 'C m c e'
_space_group_IT_number 64
_space_group_name_Hall '-C 2ac 2'
_cell_length_a 8.6389
_cell_length_b 23.7045
_cell_length_c 7.6061
_cell_angle_alpha 90.00
_cell_angle_beta 90.00
_cell_angle_gamma 90.00
loop_
_atom_site_label
_atom_site_type_symbol
_atom_site_fract_x
_atom_site_fract_y
_atom_site_fract_z
Y1 Y 0.0000 0.1939 0.0728
Y2 Y 0.2080 0.0000 0.5000
Ni1 Ni 0.0000 0.0469 0.1504
Ni2 Ni 0.0000 0.1006 0.4450
Ni3 Ni 0.0000 0.1652 0.6894
Ni4 Ni 0.1484 0.1976 0.4217
Ni5 Ni 0.2405 0.1170 0.9072
Sn1 Sn 0.0000 0.0623 0.7979
Sn2 Sn 0.2500 0.1060 0.2500
Sn3 Sn 0.2500 0.2187 0.7500
```